CeAg2Cl7: calculated powder diffractogram (a wavelength of 1.5418 Å), based on a PBE-relaxed structure.

Principal peaks in the range 2θ from 5° to 70°, in order of falling intensity:
19.27 deg, I 100, hkl 0 0 2; 22.26 deg, I 84, hkl 3 1 0; 40.20 deg, I 61, hkl 3 3 0; 30.32 deg, I 57, hkl 0 2 2; 25.77 deg, I 50, hkl 3 1 -2; 42.35 deg, I 36, hkl 3 3 -2; 33.03 deg, I 32, hkl 3 1 2; 47.40 deg, I 26, hkl 3 3 2

Cell and atoms:
Cell lengths 14.624, 7.673, 9.600 Å; angles 90.00, 106.36, 90.00 degrees
Space group C2/c (No. 15)
Unique sites:
Ce 0.000 0.008 0.250 x4
Ag 0.170 0.496 0.274 x8
Cl 0.000 0.387 0.250 x4
Cl 0.078 0.143 0.537 x8
Cl 0.127 0.231 0.887 x8
Cl 0.190 0.167 0.269 x8

Cs2CeAgCl6: calculated powder diffractogram (a wavelength of 1.5418 Å), based on a PBE-relaxed structure.

Principal peaks in the range 2θ from 5° to 70°, in order of falling intensity:
23.19 deg, I 100, hkl 1 1 0; 29.99 deg, I 93, hkl 0 2 1; 29.74 deg, I 68, hkl 0 1 2; 38.05 deg, I 67, hkl 2 0 2; 13.33 deg, I 49, hkl 1 0 0; 18.76 deg, I 46, hkl 1 0 1; 45.03 deg, I 43, hkl 1 2 2; 47.40 deg, I 39, hkl 2 2 0

Cell and atoms:
Cell lengths 7.6718, 7.6718, 6.7349 Å; angles 90.00, 90.00, 120.00 degrees
Space group P-3m1 (No. 164)
Unique sites:
Cs 0.3333 0.6667 0.2129 x2
Ce 0.0000 0.0000 0.5000 x1
Ag 0.0000 0.0000 0.0000 x1
Cl 0.1664 0.3327 0.7454 x6

CsCeAg2Cl8: calculated powder diffractogram (a wavelength of 1.5418 Å), based on a PBE-relaxed structure.

Principal peaks in the range 2θ from 5° to 70°, in order of falling intensity:
16.40 deg, I 100, hkl 1 0 1; 23.38 deg, I 90, hkl 1 1 0; 23.16 deg, I 70, hkl 0 1 2; 33.14 deg, I 60, hkl 2 0 2; 13.43 deg, I 38, hkl 1 0 0; 40.96 deg, I 36, hkl 1 2 2; 47.81 deg, I 30, hkl 2 2 0; 37.33 deg, I 27, hkl 2 1 1

Cell and atoms:
Cell lengths 7.6105, 7.6105, 9.4497 Å; angles 90.00, 90.00, 120.00 degrees
Space group P-3m1 (No. 164)
Unique sites:
Cs 0.0000 0.0000 0.0000 x1
Ce 0.0000 0.0000 0.5000 x1
Ag 0.3333 0.6667 0.2076 x2
Cl 0.1580 0.3160 0.3293 x6
Cl 0.3333 0.6667 0.9549 x2